Simulated XRD peak list of Tb6Al3Si for Cu Kα (λ = 1.5418 Å), from a cell relaxed with GGA-PBE.

Unit cell a=11.237 b=11.237 c=11.237 alpha=117.74 beta=117.74 gamma=93.97
Fractional coordinates of all 40 atoms:
Tb1 0.061 0.929 0.259
Tb2 0.071 0.330 0.132
Tb3 0.148 0.648 0.500
Tb4 0.169 0.331 0.500
Tb5 0.170 0.429 0.868
Tb6 0.198 0.939 0.868
Tb7 0.302 0.170 0.741
Tb8 0.330 0.198 0.259
Tb9 0.331 0.831 0.161
Tb10 0.352 0.852 0.500
Tb11 0.429 0.561 0.259
Tb12 0.439 0.698 0.868
Tb13 0.561 0.302 0.132
Tb14 0.571 0.439 0.741
Tb15 0.648 0.148 0.500
Tb16 0.669 0.169 0.839
Tb17 0.670 0.802 0.741
Tb18 0.698 0.830 0.259
Tb19 0.802 0.061 0.132
Tb20 0.830 0.571 0.132
Tb21 0.831 0.669 0.500
Tb22 0.852 0.352 0.500
Tb23 0.929 0.670 0.868
Tb24 0.939 0.071 0.741
Al1 0.027 0.883 0.500
Al2 0.117 0.617 0.144
Al3 0.120 0.620 0.740
Al4 0.380 0.120 0.500
Al5 0.383 0.527 0.500
Al6 0.473 0.973 0.856
Al7 0.527 0.027 0.144
Al8 0.617 0.473 0.500
Al9 0.620 0.880 0.500
Al10 0.880 0.380 0.260
Al11 0.883 0.383 0.856
Al12 0.973 0.117 0.500
Si1 0.000 0.000 0.000
Si2 0.250 0.250 0.000
Si3 0.500 0.500 0.000
Si4 0.750 0.750 0.000

Peak list (10 most intense, 2θ from 5° to 70°, sorted by position)
- 2θ 23.2, d 3.833, intensity 39
- 2θ 24.2, d 3.674, intensity 27
- 2θ 24.4, d 3.644, intensity 34
- 2θ 32.3, d 2.772, intensity 91
- 2θ 32.7, d 2.739, intensity 38
- 2θ 32.9, d 2.726, intensity 36
- 2θ 33.8, d 2.652, intensity 100
- 2θ 36.4, d 2.468, intensity 24
- 2θ 52.9, d 1.729, intensity 31
- 2θ 55.5, d 1.657, intensity 26